[1]
For CaZn6O6, DFT lattice parameters and positions (PBE) gives the calculated powder diffractogram in this record (Cu Ka).
No peak broadening, texture or thermal motion is included.

Structure:
```
13
Lattice="5.801 0.000 0.000 0.000 5.801 0.000 0.000 0.000 5.801" Properties=species:S:1:pos:R:3 pbc="T T T"
Ca 0.000 0.000 0.000
Zn 0.000 1.515 2.900
Zn 0.000 4.286 2.900
Zn 1.515 2.900 0.000
Zn 2.900 0.000 1.515
Zn 2.900 0.000 4.286
Zn 4.286 2.900 0.000
O 0.000 2.900 1.396
O 0.000 2.900 4.404
O 1.396 0.000 2.900
O 2.900 1.396 0.000
O 2.900 4.404 0.000
O 4.404 0.000 2.900
```

Top 8 peaks for 15 to 90 degrees two-theta, low angle first:
- 21.67 deg, intensity 62
- 30.83 deg, intensity 34
- 34.58 deg, intensity 100
- 38.00 deg, intensity 74
- 54.82 deg, intensity 38
- 57.26 deg, intensity 26
- 59.64 deg, intensity 36
- 64.23 deg, intensity 23

[2]
For Ca4ZnO5, DFT lattice parameters and positions (PBE) gives the calculated powder diffractogram in this record (Cu Ka).
No peak broadening, texture or thermal motion is included.

Structure:
```
10
Lattice="-3.732 3.732 2.413 3.732 -3.732 2.413 3.732 3.732 -2.413" Properties=species:S:1:pos:R:3 pbc="T T T"
Ca 2.215 0.759 0.000
Ca 2.974 -1.518 2.413
Ca 0.759 5.250 0.000
Ca 1.518 2.974 2.413
Zn 0.000 0.000 2.576
O 4.442 1.561 -0.018
O 1.561 3.023 -0.018
O 2.172 0.709 2.395
O -0.709 2.172 2.395
O 0.000 0.000 4.660
```

Top 8 peaks for 15 to 90 degrees two-theta, low angle first:
- 32.62 deg, intensity 77
- 37.27 deg, intensity 51
- 38.12 deg, intensity 100
- 54.37 deg, intensity 60
- 55.01 deg, intensity 30
- 64.29 deg, intensity 12
- 65.44 deg, intensity 21
- 68.34 deg, intensity 27

[3]
For Ca4Zn2O, DFT lattice parameters and positions (PBE) gives the calculated powder diffractogram in this record (Cu Ka).
No peak broadening, texture or thermal motion is included.

Structure:
```
7
Lattice="-2.314 2.314 8.692 2.314 -2.314 8.692 2.314 2.314 -8.692" Properties=species:S:1:pos:R:3 pbc="T T T"
Ca 2.314 0.000 0.000
Ca 0.000 0.000 3.236
Ca 0.000 2.314 0.000
Ca 0.000 0.000 14.148
Zn 0.000 0.000 6.284
Zn 0.000 0.000 11.101
O 0.000 0.000 8.692
```

Top 8 peaks for 15 to 90 degrees two-theta, low angle first:
- 19.85 deg, intensity 55
- 27.25 deg, intensity 56
- 29.15 deg, intensity 84
- 30.86 deg, intensity 44
- 34.30 deg, intensity 100
- 38.91 deg, intensity 89
- 41.25 deg, intensity 47
- 50.47 deg, intensity 40

[4]
For CaZn2O8, DFT lattice parameters and positions (PBE) gives the calculated powder diffractogram in this record (Cu Ka).
No peak broadening, texture or thermal motion is included.

Structure:
```
22
Lattice="6.754 0.000 0.000 0.000 8.179 0.000 -1.950 0.000 5.790" Properties=species:S:1:pos:R:3 pbc="T T T"
Ca 0.000 0.000 0.000
Ca -0.975 4.090 2.895
Zn 1.426 1.150 4.464
Zn 2.401 2.940 1.569
Zn 2.403 5.240 4.222
Zn 3.378 7.029 1.327
O -1.498 5.880 4.682
O -0.523 6.389 1.787
O -0.540 0.766 4.040
O 0.435 3.323 1.145
O 2.037 0.235 1.205
O 1.062 3.855 4.100
O 2.896 1.334 0.634
O 1.921 2.756 3.529
O 2.883 5.424 2.261
O 1.908 6.845 5.156
O 3.742 4.324 1.691
O 2.767 7.945 4.586
O 4.369 4.856 4.645
O 5.344 7.413 1.750
O 5.327 1.791 4.003
O 6.302 2.299 1.108
```

Top 8 peaks for 15 to 90 degrees two-theta, low angle first:
- 17.59 deg, intensity 58
- 18.78 deg, intensity 48
- 26.69 deg, intensity 100
- 27.88 deg, intensity 79
- 29.53 deg, intensity 41
- 30.89 deg, intensity 44
- 37.24 deg, intensity 43
- 46.63 deg, intensity 27